1.
Theoretical powder diffraction line list
Compound: LiEr4Zr4O14
Radiation: Cu Kα
Structure: a crystal structure in the Materials Project, relaxed with PBE
Intensities are scaled so that the largest is 100.

Largest 10 diffraction maxima, sorted by position, 15° ≤ 2θ ≤ 90°:
index, 2theta, intensity
2 0 -2, 28.0, 58
2 0 2, 28.7, 50
0 1 2, 30.2, 100
0 0 4, 33.2, 23
2 1 0, 34.3, 43
4 0 0, 47.0, 19
2 1 -4, 48.1, 34
2 1 4, 48.9, 28
0 2 0, 51.6, 17
4 1 -2, 56.5, 15

Cell and atoms:
```
LiEr4Zr4O14
1.0
7.744 0.000 0.000
0.000 3.543 0.000
-0.261 0.000 10.791
Li Er Zr O
1 4 4 14
Direct
0.000 0.000 0.000
0.006 0.000 0.268
0.239 0.500 0.540
0.513 0.000 0.275
0.724 0.500 0.007
0.275 0.500 0.041
0.499 0.000 0.774
0.711 0.500 0.526
0.975 0.000 0.743
0.089 0.500 0.367
0.220 0.000 0.937
0.231 0.000 0.663
0.260 0.000 0.177
0.464 0.500 0.888
0.476 0.500 0.406
0.496 0.500 0.650
0.518 0.500 0.139
0.724 0.000 0.656
0.726 0.000 0.896
0.759 0.000 0.409
0.966 0.500 0.603
0.971 0.500 0.844
0.994 0.500 0.099
```

2.
Theoretical powder diffraction line list
Compound: MnNi3
Radiation: Cu Kα
Structure: a crystal structure in the Materials Project, relaxed with PBE
Intensities are scaled so that the largest is 100.

Largest 3 diffraction maxima, sorted by position, 15° ≤ 2θ ≤ 90°:
index, 2theta, intensity
1 1 1, 44.1, 100
2 0 0, 51.3, 46
2 2 0, 75.5, 27

Cell and atoms:
```
MnNi3
1.0
3.561 0.000 0.000
0.000 3.561 0.000
0.000 0.000 3.561
Mn Ni
1 3
Direct
0.000 0.000 0.000
0.000 0.500 0.500
0.500 0.000 0.500
0.500 0.500 0.000
```

3.
Theoretical powder diffraction line list
Compound: Ca3Sn13Ir4
Radiation: Cu Kα
Structure: a crystal structure in the Materials Project, relaxed with PBE
Intensities are scaled so that the largest is 100.

Largest 10 diffraction maxima, sorted by position, 15° ≤ 2θ ≤ 90°:
index, 2theta, intensity
2 0 0, 18.0, 57
2 2 0, 25.6, 21
3 2 0, 32.8, 100
3 2 1, 34.1, 35
4 0 0, 36.5, 36
4 1 0, 37.6, 22
4 2 0, 41.0, 52
4 2 2, 45.1, 80
6 2 2, 62.5, 21
6 6 0, 83.2, 23

Cell and atoms:
```
Ca3Sn13Ir4
1.0
9.851 0.000 0.000
0.000 9.851 0.000
0.000 0.000 9.851
Ca Sn Ir
6 26 8
Direct
0.000 0.250 0.500
0.000 0.750 0.500
0.250 0.500 0.000
0.500 0.000 0.250
0.500 0.000 0.750
0.750 0.500 0.000
0.000 0.000 0.000
0.000 0.303 0.152
0.000 0.303 0.848
0.000 0.697 0.152
0.000 0.697 0.848
0.152 0.000 0.303
0.152 0.000 0.697
0.197 0.500 0.348
0.197 0.500 0.652
0.303 0.152 0.000
0.303 0.848 0.000
0.348 0.197 0.500
0.348 0.803 0.500
0.500 0.348 0.197
0.500 0.348 0.803
0.500 0.500 0.500
0.500 0.652 0.197
0.500 0.652 0.803
0.652 0.197 0.500
0.652 0.803 0.500
0.697 0.152 0.000
0.697 0.848 0.000
0.803 0.500 0.348
0.803 0.500 0.652
0.848 0.000 0.303
0.848 0.000 0.697
0.250 0.250 0.250
0.250 0.250 0.750
0.250 0.750 0.250
0.250 0.750 0.750
0.750 0.250 0.250
0.750 0.250 0.750
0.750 0.750 0.250
0.750 0.750 0.750
```

4.
Theoretical powder diffraction line list
Compound: WN2
Radiation: Cu Kα
Structure: a crystal structure in the Materials Project, relaxed with PBE
Intensities are scaled so that the largest is 100.

Largest 10 diffraction maxima, sorted by position, 15° ≤ 2θ ≤ 90°:
index, 2theta, intensity
0 0 1, 22.7, 69
1 0 0, 35.4, 68
1 0 1, 42.4, 100
0 0 2, 46.3, 10
1 0 2, 59.6, 38
1 1 0, 63.5, 18
1 1 1, 68.3, 21
2 0 1, 79.4, 16
1 1 2, 82.1, 13
1 0 3, 83.2, 13

Cell and atoms:
```
WN2
1.0
2.931 0.000 0.000
-1.465 2.538 0.000
0.000 0.000 3.919
W N
1 2
Direct
0.000 0.000 0.000
0.333 0.667 0.319
0.333 0.667 0.681
```